# 1
The following is a computed powder diffraction line list of CeSi2Tc2. It was derived from a PBE-relaxed structure, using Cu Kα (λ = 1.5418 Å).
No peak broadening, texture or thermal motion is included.

Principal peaks in the range 2θ = 5–70°, in order of rising 2θ:
index, 2θ (°), I/Imax
0 0 2, 8.58, 72.9
0 1 1, 21.76, 11.1
1 0 3, 25.33, 16.1
0 1 5, 30.50, 16.7
1 1 4, 35.34, 100.0
1 1 6, 40.55, 38.8
0 2 0, 43.44, 26.6
2 0 0, 44.29, 27.9
1 1 10, 54.48, 11.8
2 2 0, 63.77, 16.7

Cell and atoms:
```
data_CeSi2Tc2
_chemical_formula_sum 'Ce4 Si8 Tc8'
_symmetry_space_group_name_H-M 'I m m a'
_symmetry_Int_Tables_number 74
_symmetry_space_group_name_Hall '-I 2b 2'
_cell_length_a 4.091
_cell_length_b 4.166
_cell_length_c 20.623
_cell_angle_alpha 90.00
_cell_angle_beta 90.00
_cell_angle_gamma 90.00
loop_
_atom_site_label
_atom_site_type_symbol
_atom_site_fract_x
_atom_site_fract_y
_atom_site_fract_z
Ce1 Ce 0.000 0.250 0.163
Si1 Si 0.000 0.250 0.606
Si2 Si 0.000 0.250 0.722
Tc1 Tc 0.000 0.250 0.458
Tc2 Tc 0.000 0.250 0.963
```

=====

# 2
The following is a computed powder diffraction line list of Li8InCu2. It was derived from a PBE-relaxed structure, using Cu Kα (λ = 1.5418 Å).
No peak broadening, texture or thermal motion is included.

Principal peaks in the range 2θ = 5–70°, in order of rising 2θ:
index, 2θ (°), I/Imax
0 2 0, 15.69, 36.7
2 0 0, 21.10, 53.6
1 1 1, 25.56, 100.0
1 3 0, 25.92, 28.1
2 2 0, 26.40, 18.9
0 4 1, 38.82, 28.0
3 1 1, 39.82, 41.0
3 3 0, 40.06, 13.6
1 5 0, 41.38, 17.3
0 0 2, 44.58, 36.4

Cell and atoms:
```
data_Li8InCu2
_chemical_formula_sum 'Li16 In2 Cu4'
_symmetry_space_group_name_H-M 'C 1 2/m 1'
_symmetry_Int_Tables_number 12
_cell_length_a 8.422
_cell_length_b 11.294
_cell_length_c 4.069
_cell_angle_alpha 90.00
_cell_angle_beta 90.12
_cell_angle_gamma 90.00
loop_
_symmetry_equiv_pos_as_xyz
'x,y,z'
'-x,-y,-z'
'-x,y,-z'
'x,-y,z'
'x+1/2,y+1/2,z'
'-x+1/2,-y+1/2,-z'
'-x+1/2,y+1/2,-z'
'x+1/2,-y+1/2,z'
loop_
_atom_site_label
_atom_site_type_symbol
_atom_site_fract_x
_atom_site_fract_y
_atom_site_fract_z
Li1 Li 0.000 0.239 0.000
Li2 Li 0.159 0.000 0.999
Li3 Li 0.181 0.362 0.501
In1 In 0.000 0.500 0.000
Cu1 Cu 0.000 0.106 0.500
```